# 1
The following is a calculated XRD peak list of Li2Cr3NiS6O24. It was derived from a structure optimized by DFT (GGA+U), using λ = 1.5418 Å (Cu Kα).
Kinematic intensities with the Lorentz-polarization factor, no thermal factor.

Most intense lines, 2θ = 10–90°, by intensity:
2θ/deg, d_spacing, Rel. int.
24.19, 3.679, 100
14.42, 6.141, 71
19.95, 4.451, 62
29.08, 3.070, 49
31.64, 2.828, 39
14.66, 6.042, 38

Crystal structure
```
data_Li2Cr3NiS6O24
_symmetry_space_group_name_H-M 'P 1'
_symmetry_Int_Tables_number 1
_cell_length_a 8.3247
_cell_length_b 8.3789
_cell_length_c 8.9315
_cell_angle_alpha 91.00
_cell_angle_beta 116.85
_cell_angle_gamma 119.69
loop_
_symmetry_equiv_pos_as_xyz
'x,y,z'
loop_
_atom_site_label
_atom_site_fract_x
_atom_site_fract_y
_atom_site_fract_z
_atom_site_occupancy
Li1 0.0000 0.0000 0.0000 1
Li2 0.2454 0.6622 0.0029 1
Cr1 0.4906 0.0819 0.3174 1
Cr2 0.4935 0.5747 0.8274 1
Cr3 0.9068 0.7830 0.4463 1
Ni1 0.8753 0.2724 0.9107 1
S1 0.3958 0.1717 0.6255 1
S2 0.4035 0.3947 0.1225 1
S3 0.6929 0.9636 0.1293 1
S4 0.6944 0.8807 0.6274 1
S5 0.9772 0.6728 0.1246 1
S6 0.9938 0.4798 0.6280 1
O1 0.0096 0.7341 0.2969 1
O2 0.0620 0.6760 0.6090 1
O3 0.1710 0.4515 0.6703 1
O4 0.1772 0.0459 0.6036 1
O5 0.1886 0.7986 0.1349 1
O6 0.2343 0.4349 0.0796 1
O7 0.3184 0.1953 0.1325 1
O8 0.3738 0.1284 0.4539 1
O9 0.4528 0.4055 0.9799 1
O10 0.4689 0.3778 0.6727 1
O11 0.5084 0.7692 0.9849 1
O12 0.5360 0.7459 0.6734 1
O13 0.5484 0.1371 0.7633 1
O14 0.5769 0.9125 0.4658 1
O15 0.5837 0.0507 0.1466 1
O16 0.6031 0.5322 0.2948 1
O17 0.7986 0.3296 0.4656 1
O18 0.8052 0.7932 0.6074 1
O19 0.8091 0.9330 0.2959 1
O20 0.8256 0.7167 0.9853 1
O21 0.8482 0.0835 0.0766 1
O22 0.8732 0.0656 0.7788 1
O23 0.8949 0.4688 0.0752 1
O24 0.9594 0.4751 0.7798 1
```



# 2
The following is a calculated XRD peak list of Li9Mn2Co5O16. It was derived from a structure optimized by DFT (GGA+U), using λ = 1.5418 Å (Cu Kα).
Kinematic intensities with the Lorentz-polarization factor, no thermal factor.

Most intense lines, 2θ = 10–90°, by intensity:
2θ/deg, d_spacing, Rel. int.
18.40, 4.822, 100
41.80, 2.161, 33
43.85, 2.065, 28
44.74, 2.026, 26
34.66, 2.588, 19
36.10, 2.488, 13

Crystal structure
```
data_Li9Mn2Co5O16
_symmetry_space_group_name_H-M 'P 1'
_symmetry_Int_Tables_number 1
_cell_length_a 2.9970
_cell_length_b 5.0068
_cell_length_c 19.3242
_cell_angle_alpha 92.99
_cell_angle_beta 91.58
_cell_angle_gamma 92.10
loop_
_symmetry_equiv_pos_as_xyz
'x,y,z'
loop_
_atom_site_label
_atom_site_fract_x
_atom_site_fract_y
_atom_site_fract_z
_atom_site_occupancy
Li1 0.0000 0.0000 0.0000 1
Li2 0.0004 0.4910 0.5101 1
Li3 0.4872 0.0059 0.5079 1
Li4 0.4962 0.5040 0.9984 1
Li5 0.4979 0.3773 0.6268 1
Li6 0.5014 0.2483 0.2526 1
Li7 0.5071 0.7516 0.7461 1
Li8 0.9916 0.7569 0.2497 1
Li9 0.9930 0.2606 0.7468 1
Mn1 0.4949 0.6273 0.3775 1
Mn2 0.9982 0.3776 0.1260 1
Co1 0.4983 0.1281 0.8750 1
Co2 0.4989 0.8774 0.1258 1
Co3 0.9945 0.1276 0.3778 1
Co4 0.9981 0.6284 0.8741 1
Co5 0.9977 0.8779 0.6265 1
O1 0.0010 0.1541 0.5706 1
O2 0.0029 0.3219 0.9330 1
O3 0.0244 0.4304 0.3193 1
O4 0.0315 0.6891 0.0688 1
O5 0.4629 0.5765 0.1848 1
O6 0.4638 0.3160 0.4351 1
O7 0.4835 0.7089 0.5718 1
O8 0.4897 0.4356 0.8165 1
O9 0.5064 0.8187 0.9329 1
O10 0.5128 0.0456 0.6805 1
O11 0.5299 0.9389 0.3198 1
O12 0.5317 0.1801 0.0679 1
O13 0.9631 0.0670 0.1836 1
O14 0.9695 0.8204 0.4336 1
O15 0.9911 0.9386 0.8186 1
O16 0.9942 0.6033 0.6820 1
```



# 3
The following is a calculated XRD peak list of Li2Cr3BiO8. It was derived from a structure optimized by DFT (GGA+U), using λ = 1.5418 Å (Cu Kα).
Kinematic intensities with the Lorentz-polarization factor, no thermal factor.

Most intense lines, 2θ = 10–90°, by intensity:
2θ/deg, d_spacing, Rel. int.
17.66, 5.021, 100
17.84, 4.971, 32
34.24, 2.619, 30
41.51, 2.175, 22
41.66, 2.168, 21
41.77, 2.162, 21

Crystal structure
```
data_Li2Cr3BiO8
_symmetry_space_group_name_H-M 'P 1'
_symmetry_Int_Tables_number 1
_cell_length_a 8.6506
_cell_length_b 8.6714
_cell_length_c 8.7023
_cell_angle_alpha 90.25
_cell_angle_beta 90.64
_cell_angle_gamma 90.40
loop_
_symmetry_equiv_pos_as_xyz
'x,y,z'
loop_
_atom_site_label
_atom_site_fract_x
_atom_site_fract_y
_atom_site_fract_z
_atom_site_occupancy
Li1 0.0000 0.0000 0.0000 1
Li2 0.9995 0.4970 0.4996 1
Li3 0.2481 0.2524 0.2509 1
Li4 0.2486 0.7512 0.7494 1
Li5 0.4966 0.4979 0.9994 1
Li6 0.4981 0.9997 0.4983 1
Li7 0.7482 0.7515 0.2522 1
Li8 0.7486 0.2515 0.7492 1
Cr1 0.1091 0.1411 0.6235 1
Cr2 0.1222 0.3885 0.8584 1
Cr3 0.1374 0.6263 0.1111 1
Cr4 0.3585 0.3748 0.6114 1
Cr5 0.3741 0.6120 0.3621 1
Cr6 0.3905 0.8576 0.1249 1
Cr7 0.6101 0.3618 0.3756 1
Cr8 0.6227 0.1098 0.1402 1
Cr9 0.6348 0.8732 0.8894 1
Cr10 0.8562 0.1247 0.3930 1
Cr11 0.8737 0.8870 0.6359 1
Cr12 0.8933 0.6405 0.8755 1
Bi1 0.1250 0.8757 0.3752 1
Bi2 0.3717 0.1258 0.8740 1
Bi3 0.6236 0.6236 0.6253 1
Bi4 0.8742 0.3744 0.1270 1
O1 0.0821 0.1363 0.3896 1
O2 0.1040 0.9056 0.6331 1
O3 0.1090 0.6241 0.8806 1
O4 0.1103 0.1580 0.8550 1
O5 0.1297 0.3696 0.6306 1
O6 0.1324 0.3957 0.0916 1
O7 0.1423 0.6166 0.3423 1
O8 0.1635 0.8600 0.1138 1
O9 0.3418 0.1428 0.6144 1
O10 0.3539 0.3852 0.8442 1
O11 0.3712 0.6385 0.1321 1
O12 0.3739 0.6120 0.5982 1
O13 0.3808 0.3827 0.3822 1
O14 0.3855 0.8448 0.3539 1
O15 0.3891 0.0844 0.1358 1
O16 0.4049 0.8628 0.8951 1
O17 0.5976 0.3754 0.6114 1
O18 0.6104 0.8765 0.1177 1
O19 0.6110 0.5984 0.3765 1
O20 0.6124 0.3418 0.1453 1
O21 0.6344 0.1037 0.9082 1
O22 0.6367 0.1318 0.3723 1
O23 0.6375 0.8731 0.6534 1
O24 0.6564 0.6368 0.8753 1
O25 0.8428 0.3549 0.3850 1
O26 0.8561 0.1129 0.1647 1
O27 0.8622 0.8947 0.4064 1
O28 0.8682 0.8586 0.8667 1
O29 0.8744 0.1172 0.6111 1
O30 0.8749 0.6518 0.6407 1
O31 0.8862 0.4159 0.8643 1
O32 0.9045 0.6374 0.1030 1
```



# 4
The following is a calculated XRD peak list of ZnCrH15N5Cl4F. It was derived from a structure optimized by DFT (GGA+U), using λ = 1.5418 Å (Cu Kα).
Kinematic intensities with the Lorentz-polarization factor, no thermal factor.

Most intense lines, 2θ = 10–90°, by intensity:
2θ/deg, d_spacing, Rel. int.
15.51, 5.712, 100
21.15, 4.200, 72
31.32, 2.856, 37
26.28, 3.391, 36
19.35, 4.587, 31
22.90, 3.884, 28

Crystal structure
```
data_ZnCrH15N5Cl4F
_symmetry_space_group_name_H-M 'C m c 21'
_symmetry_Int_Tables_number 36
_cell_length_a 8.0290
_cell_length_b 17.5289
_cell_length_c 9.1744
_cell_angle_alpha 90.00
_cell_angle_beta 90.00
_cell_angle_gamma 90.00
loop_
_symmetry_equiv_pos_as_xyz
'x,y,z'
'-x,-y,z+1/2'
'-x,y,z'
'x,-y,z+1/2'
'x+1/2,y+1/2,z'
'-x+1/2,-y+1/2,z+1/2'
'-x+1/2,y+1/2,z'
'x+1/2,-y+1/2,z+1/2'
loop_
_atom_site_label
_atom_site_fract_x
_atom_site_fract_y
_atom_site_fract_z
_atom_site_occupancy
Zn1 0.0000 0.1111 0.0000 1
Cr1 0.0000 0.3994 0.1014 1
H1 0.0000 0.2602 0.2291 1
H2 0.1021 0.3196 0.3364 1
H3 0.1402 0.4773 0.3165 1
H4 0.1513 0.2820 0.9684 1
H5 0.2060 0.1673 0.5528 1
H6 0.2096 0.0702 0.7296 1
H7 0.2121 0.4916 0.6589 1
H8 0.2193 0.3619 0.8939 1
N1 0.0000 0.3147 0.2701 1
N2 0.1820 0.4598 0.2156 1
N3 0.1879 0.3370 0.9910 1
Cl1 0.0000 0.0156 0.4573 1
Cl2 0.0000 0.1793 0.7778 1
Cl3 0.2391 0.1521 0.1106 1
F1 0.0000 0.4760 0.9515 1
```